This entry pairs a crystal structure of CaMn2P2O10 with its calculated powder diffractogram. Radiation: Cu Kα X-rays. Structure: a structure optimized by DFT (PBE+U).
No peak broadening, texture or thermal motion is included.

Cell and atoms:
abc: 7.345 11.612 16.173
angles: 90.00 90.00 90.00
Space group Fddd (No. 70, origin choice 2)
Asymmetric unit:
Ca1 0.125 0.125 0.125
Mn1 0.000 0.000 0.500
P1 0.125 0.125 0.333
O1 0.042 0.366 0.526
O2 0.107 0.017 0.860
O3 0.125 0.125 0.542

Largest 10 diffraction maxima, in order of rising 2θ, 15° ≤ 2θ ≤ 90°:
2θ 21.8, 4.070 Å, I = 27, (1 1 3); 2θ 26.6, 3.349 Å, I = 79, (1 3 1); 2θ 28.8, 3.104 Å, I = 46, (2 2 0); 2θ 30.9, 2.898 Å, I = 58, (2 2 2); 2θ 30.9, 2.890 Å, I = 46, (1 3 3); 2θ 31.2, 2.869 Å, I = 100, (1 1 5); 2θ 36.5, 2.462 Å, I = 30, (2 2 4); 2θ 41.2, 2.193 Å, I = 29, (1 5 1); 2θ 52.5, 1.743 Å, I = 29, (3 3 5); 2θ 54.9, 1.672 Å, I = 27, (4 0 4)



This entry pairs a crystal structure of LiEuW2O8 with its calculated powder diffractogram. Radiation: Cu Kα X-rays. Structure: a structure optimized by DFT (PBE+U).
No peak broadening, texture or thermal motion is included.

Cell and atoms:
abc: 5.321 5.321 11.308
angles: 90.00 90.00 90.00
Space group I-4 (No. 82)
Asymmetric unit:
Li1 0.000 0.000 0.000
Eu1 0.000 0.500 0.250
W1 0.000 0.000 0.500
W2 0.000 0.500 0.750
O1 0.157 0.240 0.411
O2 0.159 0.742 0.837

Largest 10 diffraction maxima, in order of rising 2θ, 15° ≤ 2θ ≤ 90°:
2θ 18.4, 4.815 Å, I = 37, (1 0 1); 2θ 28.5, 3.132 Å, I = 100, (1 1 2); 2θ 29.0, 3.076 Å, I = 13, (1 0 3); 2θ 31.6, 2.827 Å, I = 13, (0 0 4); 2θ 33.7, 2.660 Å, I = 22, (2 0 0); 2θ 46.9, 1.937 Å, I = 31, (2 0 4); 2θ 48.4, 1.881 Å, I = 14, (2 2 0); 2θ 54.5, 1.685 Å, I = 18, (1 1 6); 2θ 57.1, 1.613 Å, I = 28, (1 3 2); 2θ 75.8, 1.255 Å, I = 13, (3 1 6)



This entry pairs a crystal structure of FeOF with its calculated powder diffractogram. Radiation: Cu Kα X-rays. Structure: a structure optimized by DFT (PBE+U).
No peak broadening, texture or thermal motion is included.

Cell and atoms:
abc: 9.504 3.108 14.297
angles: 90.00 90.32 90.00
Space group Pm (No. 6)
Asymmetric unit:
Fe1 0.000 0.000 0.000
Fe2 0.001 0.000 0.663
Fe3 0.211 0.500 0.833
Fe4 0.215 0.500 0.164
Fe5 0.229 0.500 0.510
Fe6 0.471 0.000 0.022
Fe7 0.480 0.000 0.653
Fe8 0.496 0.000 0.332
Fe9 0.709 0.500 0.499
Fe10 0.719 0.500 0.173
Fe11 0.725 0.500 0.837
Fe12 0.979 0.000 0.318
O1 0.071 0.500 0.597
O2 0.075 0.500 0.269
O3 0.079 0.500 0.935
O4 0.129 0.000 0.104
O5 0.133 0.000 0.768
O6 0.325 0.000 0.564
O7 0.379 0.500 0.074
O8 0.571 0.500 0.270
O9 0.580 0.500 0.607
O10 0.630 0.000 0.438
O11 0.634 0.000 0.105
O12 0.823 0.000 0.228
F1 0.129 0.000 0.432
F2 0.322 0.000 0.239
F3 0.331 0.000 0.900
F4 0.374 0.500 0.398
F5 0.382 0.500 0.735
F6 0.569 0.500 0.940
F7 0.622 0.000 0.772
F8 0.825 0.000 0.903
F9 0.827 0.000 0.566
F10 0.880 0.500 0.730
F11 0.881 0.500 0.061
F12 0.882 0.500 0.400

Largest 10 diffraction maxima, in order of rising 2θ, 15° ≤ 2θ ≤ 90°:
2θ 26.4, 3.374 Å, I = 92, (2 0 -3); 2θ 26.6, 3.356 Å, I = 92, (2 0 3); 2θ 34.5, 2.602 Å, I = 100, (2 1 0); 2θ 39.5, 2.280 Å, I = 18, (2 1 3); 2θ 52.0, 1.760 Å, I = 27, (2 1 -6); 2θ 52.0, 1.758 Å, I = 27, (4 1 -3); 2θ 52.2, 1.753 Å, I = 55, (4 1 3); 2θ 59.5, 1.554 Å, I = 18, (0 2 0); 2θ 66.1, 1.414 Å, I = 19, (0 1 9); 2θ 66.2, 1.411 Å, I = 29, (6 1 0)



This entry pairs a crystal structure of Li4V5O9F with its calculated powder diffractogram. Radiation: Cu Kα X-rays. Structure: a structure optimized by DFT (PBE+U).
No peak broadening, texture or thermal motion is included.

Cell and atoms:
abc: 10.009 3.011 13.128
angles: 90.00 101.40 90.00
Space group Cm (No. 8)
Asymmetric unit:
Li1 0.000 0.000 0.000
Li2 0.096 0.500 0.203
Li3 0.304 0.500 0.597
Li4 0.402 0.000 0.802
V1 0.014 0.500 0.508
V2 0.105 0.000 0.707
V3 0.202 0.500 0.904
V4 0.299 0.000 0.102
V5 0.379 0.500 0.301
O1 0.063 0.000 0.854
O2 0.149 0.000 0.563
O3 0.160 0.500 0.052
O4 0.244 0.500 0.759
O5 0.253 0.000 0.247
O6 0.342 0.000 0.956
O7 0.389 0.500 0.452
O8 0.436 0.500 0.158
O9 0.467 0.000 0.654
F1 0.033 0.500 0.344

Largest 10 diffraction maxima, in order of rising 2θ, 15° ≤ 2θ ≤ 90°:
2θ 18.0, 4.919 Å, I = 100, (2 0 -1); 2θ 34.9, 2.573 Å, I = 38, (0 0 5); 2θ 36.6, 2.458 Å, I = 8, (4 0 -2); 2θ 42.3, 2.136 Å, I = 52, (3 1 1); 2θ 42.5, 2.125 Å, I = 27, (2 0 -6); 2θ 55.9, 1.644 Å, I = 9, (5 1 0); 2θ 61.4, 1.510 Å, I = 15, (1 1 7); 2θ 61.6, 1.505 Å, I = 8, (0 2 0); 2θ 61.7, 1.503 Å, I = 13, (5 1 -5); 2θ 64.7, 1.440 Å, I = 9, (1 1 -8)



This entry pairs a crystal structure of Ba2LaCrO6 with its calculated powder diffractogram. Radiation: Cu Kα X-rays. Structure: a structure optimized by DFT (PBE+U).
No peak broadening, texture or thermal motion is included.

Cell and atoms:
abc: 8.508 8.508 8.508
angles: 90.00 90.00 90.00
Space group Pn-3 (No. 201, origin choice 2)
Asymmetric unit:
Ba1 0.250 0.250 0.250
Ba2 0.250 0.250 0.750
La1 0.000 0.000 0.000
Cr1 0.000 0.000 0.500
O1 0.012 0.224 0.513

Largest 10 diffraction maxima, in order of rising 2θ, 15° ≤ 2θ ≤ 90°:
2θ 18.1, 4.912 Å, I = 5, (1 1 1); 2θ 29.7, 3.008 Å, I = 100, (2 2 0); 2θ 35.0, 2.565 Å, I = 6, (3 1 1); 2θ 36.6, 2.456 Å, I = 6, (2 2 2); 2θ 42.5, 2.127 Å, I = 30, (4 0 0); 2θ 52.7, 1.737 Å, I = 39, (4 2 2); 2θ 61.7, 1.504 Å, I = 18, (4 4 0); 2θ 69.9, 1.345 Å, I = 18, (6 0 2); 2θ 77.8, 1.228 Å, I = 6, (4 4 4); 2θ 85.4, 1.137 Å, I = 21, (6 4 2)



This entry pairs a crystal structure of Mn6P4H2O17 with its calculated powder diffractogram. Radiation: Cu Kα X-rays. Structure: a structure optimized by DFT (PBE+U).
No peak broadening, texture or thermal motion is included.

Cell and atoms:
abc: 9.460 17.699 8.249
angles: 90.00 92.62 90.00
Space group Cc (No. 9)
Asymmetric unit:
Mn1 0.000 0.083 0.000
Mn2 0.031 0.415 0.036
Mn3 0.209 0.120 0.359
Mn4 0.258 0.297 0.586
Mn5 0.290 0.189 0.932
Mn6 0.357 0.373 0.124
P1 0.079 0.255 0.235
P2 0.177 0.051 0.669
P3 0.251 0.468 0.770
P4 0.472 0.240 0.287
H1 0.000 0.418 0.579
H2 0.002 0.425 0.389
O1 0.059 0.082 0.548
O2 0.101 0.496 0.711
O3 0.125 0.186 0.131
O4 0.136 0.259 0.787
O5 0.138 0.331 0.173
O6 0.142 0.236 0.408
O7 0.153 0.036 0.187
O8 0.175 0.089 0.837
O9 0.234 0.425 0.932
O10 0.314 0.412 0.645
O11 0.318 0.067 0.585
O12 0.356 0.465 0.297
O13 0.407 0.254 0.113
O14 0.415 0.239 0.736
O15 0.416 0.307 0.389
O16 0.425 0.161 0.351
O17 0.477 0.109 0.976

Largest 10 diffraction maxima, in order of rising 2θ, 15° ≤ 2θ ≤ 90°:
2θ 22.8, 3.898 Å, I = 43, (0 4 1); 2θ 27.7, 3.220 Å, I = 58, (1 3 -2); 2θ 28.4, 3.144 Å, I = 61, (1 3 2); 2θ 29.2, 3.058 Å, I = 39, (1 5 1); 2θ 29.6, 3.015 Å, I = 46, (0 4 2); 2θ 29.9, 2.991 Å, I = 55, (2 2 -2); 2θ 30.3, 2.948 Å, I = 100, (3 1 -1); 2θ 31.1, 2.873 Å, I = 38, (2 2 2); 2θ 35.9, 2.503 Å, I = 59, (2 4 2); 2θ 43.3, 2.091 Å, I = 31, (4 0 -2)



This entry pairs a crystal structure of SrNdNiO4 with its calculated powder diffractogram. Radiation: Cu Kα X-rays. Structure: a structure optimized by DFT (PBE+U).
No peak broadening, texture or thermal motion is included.

Cell and atoms:
abc: 5.395 12.464 5.409
angles: 90.00 90.00 90.00
Space group Cmcm (No. 63)
Asymmetric unit:
Sr1 0.000 0.106 0.250
Nd1 0.000 0.385 0.250
Ni1 0.000 0.250 0.750
O1 0.000 0.089 0.750
O2 0.000 0.425 0.750
O3 0.250 0.250 0.000

Largest 10 diffraction maxima, in order of rising 2θ, 15° ≤ 2θ ≤ 90°:
2θ 24.4, 3.652 Å, I = 16, (1 1 1); 2θ 31.8, 2.812 Å, I = 100, (1 3 1); 2θ 33.2, 2.701 Å, I = 74, (2 0 0); 2θ 43.3, 2.088 Å, I = 22, (1 5 1); 2θ 44.4, 2.041 Å, I = 29, (2 4 0); 2θ 47.6, 1.910 Å, I = 38, (2 0 2); 2θ 58.4, 1.581 Å, I = 18, (1 3 3); 2θ 58.5, 1.578 Å, I = 18, (3 3 1); 2θ 69.7, 1.349 Å, I = 13, (4 0 0); 2θ 79.4, 1.207 Å, I = 14, (4 0 2)



This entry pairs a crystal structure of Fe2Cu2Ge4O13 with its calculated powder diffractogram. Radiation: Cu Kα X-rays. Structure: a structure optimized by DFT (PBE+U).
No peak broadening, texture or thermal motion is included.

Cell and atoms:
abc: 4.968 8.709 12.198
angles: 90.00 96.12 90.00
Space group P2_1/m (No. 11)
Asymmetric unit:
Fe1 0.045 0.064 0.377
Cu1 0.042 0.502 0.126
Ge1 0.328 0.250 0.746
Ge2 0.393 0.250 0.994
Ge3 0.393 0.750 0.488
Ge4 0.486 0.250 0.240
O1 0.130 0.080 0.741
O2 0.201 0.080 0.997
O3 0.207 0.576 0.496
O4 0.211 0.750 0.668
O5 0.280 0.084 0.249
O6 0.281 0.250 0.436
O7 0.367 0.750 0.888
O8 0.432 0.750 0.346
O9 0.448 0.750 0.128

Largest 10 diffraction maxima, in order of rising 2θ, 15° ≤ 2θ ≤ 90°:
2θ 26.5, 3.362 Å, I = 10, (1 1 2); 2θ 27.3, 3.266 Å, I = 100, (1 2 0); 2θ 27.8, 3.211 Å, I = 10, (1 2 -1); 2θ 31.8, 2.817 Å, I = 15, (1 1 3); 2θ 33.0, 2.716 Å, I = 27, (1 0 -4); 2θ 36.1, 2.488 Å, I = 29, (0 2 4); 2θ 36.4, 2.469 Å, I = 13, (1 0 4); 2θ 37.8, 2.377 Å, I = 11, (2 1 -1); 2θ 41.5, 2.177 Å, I = 13, (0 4 0); 2θ 55.5, 1.655 Å, I = 12, (2 3 3)



Copy entry 5 word for word.
This entry pairs a crystal structure of Ba2LaCrO6 with its calculated powder diffractogram. Radiation: Cu Kα X-rays. Structure: a structure optimized by DFT (PBE+U).
No peak broadening, texture or thermal motion is included.

Cell and atoms:
abc: 8.508 8.508 8.508
angles: 90.00 90.00 90.00
Space group Pn-3 (No. 201, origin choice 2)
Asymmetric unit:
Ba1 0.250 0.250 0.250
Ba2 0.250 0.250 0.750
La1 0.000 0.000 0.000
Cr1 0.000 0.000 0.500
O1 0.012 0.224 0.513

Largest 10 diffraction maxima, in order of rising 2θ, 15° ≤ 2θ ≤ 90°:
2θ 18.1, 4.912 Å, I = 5, (1 1 1); 2θ 29.7, 3.008 Å, I = 100, (2 2 0); 2θ 35.0, 2.565 Å, I = 6, (3 1 1); 2θ 36.6, 2.456 Å, I = 6, (2 2 2); 2θ 42.5, 2.127 Å, I = 30, (4 0 0); 2θ 52.7, 1.737 Å, I = 39, (4 2 2); 2θ 61.7, 1.504 Å, I = 18, (4 4 0); 2θ 69.9, 1.345 Å, I = 18, (6 0 2); 2θ 77.8, 1.228 Å, I = 6, (4 4 4); 2θ 85.4, 1.137 Å, I = 21, (6 4 2)



Please write out number 8 again, unchanged.
This entry pairs a crystal structure of Fe2Cu2Ge4O13 with its calculated powder diffractogram. Radiation: Cu Kα X-rays. Structure: a structure optimized by DFT (PBE+U).
No peak broadening, texture or thermal motion is included.

Cell and atoms:
abc: 4.968 8.709 12.198
angles: 90.00 96.12 90.00
Space group P2_1/m (No. 11)
Asymmetric unit:
Fe1 0.045 0.064 0.377
Cu1 0.042 0.502 0.126
Ge1 0.328 0.250 0.746
Ge2 0.393 0.250 0.994
Ge3 0.393 0.750 0.488
Ge4 0.486 0.250 0.240
O1 0.130 0.080 0.741
O2 0.201 0.080 0.997
O3 0.207 0.576 0.496
O4 0.211 0.750 0.668
O5 0.280 0.084 0.249
O6 0.281 0.250 0.436
O7 0.367 0.750 0.888
O8 0.432 0.750 0.346
O9 0.448 0.750 0.128

Largest 10 diffraction maxima, in order of rising 2θ, 15° ≤ 2θ ≤ 90°:
2θ 26.5, 3.362 Å, I = 10, (1 1 2); 2θ 27.3, 3.266 Å, I = 100, (1 2 0); 2θ 27.8, 3.211 Å, I = 10, (1 2 -1); 2θ 31.8, 2.817 Å, I = 15, (1 1 3); 2θ 33.0, 2.716 Å, I = 27, (1 0 -4); 2θ 36.1, 2.488 Å, I = 29, (0 2 4); 2θ 36.4, 2.469 Å, I = 13, (1 0 4); 2θ 37.8, 2.377 Å, I = 11, (2 1 -1); 2θ 41.5, 2.177 Å, I = 13, (0 4 0); 2θ 55.5, 1.655 Å, I = 12, (2 3 3)